Ac3MgNi2O9: calculated X-ray powder pattern (λ = 1.5418 Å (Cu Kα)), based on a GGA+U-relaxed structure.
Peak positions follow from Bragg's law for the DFT cell and can differ from measured ones.

Cell and atoms:
Unit cell a=5.575 b=5.575 c=6.832 alpha=90.00 beta=90.00 gamma=120.00
Fractional positions:
Ac 0.000 0.000 0.000
Ac 0.333 0.667 0.669
Ac 0.667 0.333 0.331
Mg 0.000 0.000 0.500
Ni 0.333 0.667 0.167
Ni 0.667 0.333 0.833
O 0.000 0.500 0.000
O 0.170 0.341 0.327
O 0.170 0.830 0.327
O 0.341 0.170 0.673
O 0.500 0.000 0.000
O 0.500 0.500 0.000
O 0.659 0.830 0.327
O 0.830 0.170 0.673
O 0.830 0.659 0.673

Main lines, low angle first (2θ = 10–90°):
- d 3.943, 22.55 deg, I = 40, (1 0 1)
- d 2.788, 32.10 deg, I = 100, (1 1 0)
- d 2.276, 39.59 deg, I = 27, (0 2 1)
- d 1.971, 46.04 deg, I = 29, (2 0 2)
- d 1.763, 51.85 deg, I = 20, (2 1 1)
- d 1.610, 57.23 deg, I = 40, (3 0 0)